This entry pairs a crystal structure of Sr2CrOsO6 with its computed powder diffractogram. Radiation: Cu Ka. Structure: DFT lattice parameters and positions (PBE+U).

Principal peaks in the range 2θ = 10–90°, low angle first:
2θ (°)	Rel. int.
19.33	399
31.78	993
32.08	1000
37.60	165
45.78	612
56.62	220
56.80	406
57.37	193
66.40	176
67.09	182
75.66	167
76.15	173

Atomic structure:
Unit cell a=5.5813 b=5.6302 c=7.9303 alpha=90.02 beta=90.75 gamma=90.01
Fractional coordinates of all 20 atoms:
1 Sr 0.0045 0.4991 0.2490
2 Sr 0.4955 0.0010 0.7509
3 Sr 0.5045 0.9990 0.2491
4 Sr 0.9955 0.5009 0.7510
5 Cr 0.0000 0.0000 0.0000
6 Cr 0.5000 0.5000 0.5000
7 Os 0.0000 0.0000 0.5000
8 Os 0.5000 0.5000 0.0000
9 O 0.0021 0.0523 0.7473
10 O 0.2174 0.7229 0.5255
11 O 0.2352 0.2684 0.0219
12 O 0.2683 0.7649 0.9776
13 O 0.2783 0.2163 0.4753
14 O 0.4995 0.5435 0.2482
15 O 0.5005 0.4565 0.7518
16 O 0.7217 0.7837 0.5247
17 O 0.7317 0.2351 0.0224
18 O 0.7648 0.7316 0.9781
19 O 0.7826 0.2771 0.4745
20 O 0.9979 0.9477 0.2527


This entry pairs a crystal structure of Li2MnBAsO7 with its computed powder diffractogram. Radiation: Cu Ka. Structure: DFT lattice parameters and positions (PBE+U).

Principal peaks in the range 2θ = 10–90°, low angle first:
2θ (°)	Rel. int.
10.11	1000
17.17	112
19.48	269
20.47	175
24.80	291
25.96	314
27.90	421
29.75	112
30.88	121
34.77	191
43.74	92
56.40	112

Atomic structure:
Unit cell a=5.1681 b=6.3959 c=8.7609 alpha=90.00 beta=93.22 gamma=90.00
Fractional coordinates of all 24 atoms:
1 Li 0.2274 0.0185 0.3044
2 Li 0.2274 0.4815 0.3044
3 Li 0.7726 0.5185 0.6956
4 Li 0.7726 0.9815 0.6956
5 Mn 0.2118 0.7500 0.8250
6 Mn 0.7882 0.2500 0.1750
7 B 0.2683 0.7500 0.5537
8 B 0.7317 0.2500 0.4463
9 As 0.2836 0.2500 0.9286
10 As 0.7164 0.7500 0.0714
11 O 0.0298 0.7500 0.6259
12 O 0.1463 0.2500 0.1020
13 O 0.1850 0.0483 0.8108
14 O 0.1850 0.4517 0.8108
15 O 0.2956 0.7500 0.4045
16 O 0.3863 0.7500 0.0301
17 O 0.4686 0.7500 0.6714
18 O 0.5314 0.2500 0.3286
19 O 0.6137 0.2500 0.9699
20 O 0.7044 0.2500 0.5955
21 O 0.8150 0.5483 0.1892
22 O 0.8150 0.9517 0.1892
23 O 0.8537 0.7500 0.8980
24 O 0.9702 0.2500 0.3741


This entry pairs a crystal structure of Cs2MnNiF6 with its computed powder diffractogram. Radiation: Cu Ka. Structure: DFT lattice parameters and positions (PBE+U).

Principal peaks in the range 2θ = 10–90°, low angle first:
2θ (°)	Rel. int.
21.88	169
26.20	671
28.36	1000
28.59	152
36.11	231
39.01	547
44.84	124
48.92	200
50.22	193
53.91	127
58.68	226
62.02	162

Atomic structure:
Unit cell a=10.7868 b=10.7868 c=10.7868 alpha=33.92 beta=33.92 gamma=33.92
Fractional coordinates of all 20 atoms:
1 Cs 0.0000 0.0000 0.0000
2 Cs 0.1523 0.1523 0.1523
3 Cs 0.4167 0.4167 0.4167
4 Cs 0.5720 0.5720 0.5720
5 Mn 0.2870 0.2870 0.2870
6 Mn 0.8780 0.8780 0.8780
7 Ni 0.6941 0.6941 0.6941
8 Ni 0.7844 0.7844 0.7844
9 F 0.0822 0.0822 0.5739
10 F 0.0822 0.5739 0.0822
11 F 0.1139 0.6837 0.6837
12 F 0.4592 0.8809 0.8809
13 F 0.4970 0.4970 0.9835
14 F 0.4970 0.9835 0.4970
15 F 0.5739 0.0822 0.0822
16 F 0.6837 0.1139 0.6837
17 F 0.6837 0.6837 0.1139
18 F 0.8809 0.4592 0.8809
19 F 0.8809 0.8809 0.4592
20 F 0.9835 0.4970 0.4970